[1]
Diffraction record for HoTm2ZrS4. The X-ray diffraction stick pattern is calculated, not measured: it uses a crystal structure in Alexandria, relaxed with GGA-PBE and Cu Kα (λ = 1.5418 Å).

Main lines, by angle (2θ from 5° to 70°):
two_theta  intensity
28.61  58
28.72  19
33.19  100
47.57  36
47.71  35
56.47  22
56.62  15
59.23  18
59.47  6
69.70  8

Atomic structure:
abc: 6.6019 3.8239 6.6202
angles: 90.00 109.66 90.00
Positions (direct):
Ho 0.0000 0.0000 0.0000
Tm 0.0000 0.5000 0.5000
Tm 0.5000 0.0000 0.5000
Zr 0.5000 0.5000 0.0000
S 0.2534 0.0000 0.7508
S 0.2539 0.5000 0.2515
S 0.7461 0.5000 0.7485
S 0.7466 0.0000 0.2492


[2]
Diffraction record for CePrSc2. The X-ray diffraction stick pattern is calculated, not measured: it uses a crystal structure in Alexandria, relaxed with GGA-PBE and Cu Kα (λ = 1.5418 Å).

Main lines, by angle (2θ from 5° to 70°):
two_theta  intensity
23.04  32
32.82  100
40.48  10
47.09  18
53.05  14
58.58  37
68.80  11

Atomic structure:
abc: 5.4585 5.4585 5.4585
angles: 60.00 60.00 60.00
Positions (direct):
Ce 0.0000 0.0000 0.0000
Pr 0.5000 0.5000 0.5000
Sc 0.2500 0.2500 0.2500
Sc 0.7500 0.7500 0.7500